# 1
This entry pairs a crystal structure of Sm4CdPd with its calculated X-ray diffraction stick pattern. Radiation: Cu Kα (λ = 1.5418 Å). Structure: a cell relaxed with GGA-PBE.
Kinematic intensities with the Lorentz-polarization factor, no thermal factor.

Atomic structure:
```
Sm4CdPd
1.0
0.0000 7.0170 7.0170
7.0170 0.0000 7.0170
7.0170 7.0170 0.0000
Sm Cd Pd
16 4 4
Direct
0.1843 0.1843 0.8157 Sm
0.1843 0.8157 0.1843 Sm
0.1843 0.8157 0.8157 Sm
0.3982 0.3982 0.3982 Sm
0.3982 0.3982 0.8055 Sm
0.3982 0.8055 0.3982 Sm
0.5588 0.5588 0.9412 Sm
0.5588 0.9412 0.5588 Sm
0.5588 0.9412 0.9412 Sm
0.8055 0.3982 0.3982 Sm
0.8157 0.1843 0.1843 Sm
0.8157 0.1843 0.8157 Sm
0.8157 0.8157 0.1843 Sm
0.9412 0.5588 0.5588 Sm
0.9412 0.5588 0.9412 Sm
0.9412 0.9412 0.5588 Sm
0.1689 0.1689 0.1689 Cd
0.1689 0.1689 0.4932 Cd
0.1689 0.4932 0.1689 Cd
0.4932 0.1689 0.1689 Cd
0.1805 0.6065 0.6065 Pd
0.6065 0.1805 0.6065 Pd
0.6065 0.6065 0.1805 Pd
0.6065 0.6065 0.6065 Pd
```

Largest 8 diffraction maxima, by angle, 10° ≤ 2θ ≤ 80°:
27.71°, rel. 22.7; 31.22°, rel. 47.5; 33.17°, rel. 100.0; 36.21°, rel. 31.0; 55.56°, rel. 44.6; 56.81°, rel. 13.5; 66.26°, rel. 15.8; 69.25°, rel. 8.8

# 2
This entry pairs a crystal structure of SmCdPd2 with its calculated X-ray diffraction stick pattern. Radiation: Cu Kα (λ = 1.5418 Å). Structure: a cell relaxed with GGA-PBE.
Kinematic intensities with the Lorentz-polarization factor, no thermal factor.

Atomic structure:
```
SmCdPd2
1.0
0.0000 3.4425 3.4425
3.4425 0.0000 3.4425
3.4425 3.4425 0.0000
Sm Cd Pd
1 1 2
Direct
0.0000 0.0000 0.0000 Sm
0.5000 0.5000 0.5000 Cd
0.2500 0.2500 0.2500 Pd
0.7500 0.7500 0.7500 Pd
```

Largest 7 diffraction maxima, by angle, 10° ≤ 2θ ≤ 80°:
22.37°, rel. 1.2; 25.88°, rel. 1.2; 36.93°, rel. 100.0; 43.60°, rel. 0.7; 53.22°, rel. 17.2; 66.53°, rel. 34.5; 78.60°, rel. 10.7

# 3
This entry pairs a crystal structure of SmCd20Pd2 with its calculated X-ray diffraction stick pattern. Radiation: Cu Kα (λ = 1.5418 Å). Structure: a cell relaxed with GGA-PBE.
Kinematic intensities with the Lorentz-polarization factor, no thermal factor.

Atomic structure:
```
SmCd20Pd2
1.0
0.0000 7.9690 7.9690
7.9690 0.0000 7.9690
7.9690 7.9690 0.0000
Sm Cd Pd
2 40 4
Direct
0.1250 0.1250 0.1250 Sm
0.8750 0.8750 0.8750 Sm
0.0000 0.0000 0.0000 Cd
0.0000 0.0000 0.5000 Cd
0.0000 0.5000 0.0000 Cd
0.0565 0.3225 0.3225 Cd
0.0564 0.3225 0.7985 Cd
0.0565 0.7985 0.3225 Cd
0.2015 0.6775 0.6775 Cd
0.2015 0.6775 0.9435 Cd
0.2015 0.9435 0.6775 Cd
0.2370 0.2370 0.5130 Cd
0.2370 0.5130 0.2370 Cd
0.2370 0.5130 0.5130 Cd
0.3225 0.0565 0.3225 Cd
0.3225 0.0564 0.7985 Cd
0.3225 0.3225 0.0565 Cd
0.3225 0.3225 0.7985 Cd
0.3225 0.7985 0.0564 Cd
0.3225 0.7985 0.3225 Cd
0.4870 0.4870 0.7630 Cd
0.4870 0.7630 0.4870 Cd
0.4870 0.7630 0.7630 Cd
0.5000 0.0000 0.0000 Cd
0.5130 0.2370 0.2370 Cd
0.5130 0.2370 0.5130 Cd
0.5130 0.5130 0.2370 Cd
0.6775 0.2015 0.6775 Cd
0.6775 0.2015 0.9435 Cd
0.6775 0.6775 0.2015 Cd
0.6775 0.6775 0.9435 Cd
0.6775 0.9435 0.2015 Cd
0.6775 0.9436 0.6775 Cd
0.7630 0.4870 0.4870 Cd
0.7630 0.4870 0.7630 Cd
0.7630 0.7630 0.4870 Cd
0.7985 0.0565 0.3225 Cd
0.7985 0.3225 0.0564 Cd
0.7985 0.3225 0.3225 Cd
0.9435 0.2015 0.6775 Cd
0.9435 0.6775 0.2015 Cd
0.9436 0.6775 0.6775 Cd
0.0000 0.5000 0.5000 Pd
0.5000 0.0000 0.5000 Pd
0.5000 0.5000 0.0000 Pd
0.5000 0.5000 0.5000 Pd
```

Largest 8 diffraction maxima, by angle, 10° ≤ 2θ ≤ 80°:
33.26°, rel. 100.0; 35.63°, rel. 44.4; 36.99°, rel. 83.6; 37.43°, rel. 90.4; 39.16°, rel. 27.4; 40.42°, rel. 33.9; 48.46°, rel. 23.8; 66.36°, rel. 54.3

# 4
This entry pairs a crystal structure of TbCdPd2 with its calculated X-ray diffraction stick pattern. Radiation: Cu Kα (λ = 1.5418 Å). Structure: a cell relaxed with GGA-PBE.
Kinematic intensities with the Lorentz-polarization factor, no thermal factor.

Atomic structure:
```
TbCdPd2
1.0
0.0000 3.4053 3.4053
3.4053 0.0000 3.4053
3.4053 3.4053 0.0000
Tb Cd Pd
1 1 2
Direct
0.0000 0.0000 0.0000 Tb
0.5000 0.5000 0.5000 Cd
0.2500 0.2500 0.2500 Pd
0.7500 0.7500 0.7500 Pd
```

Largest 8 diffraction maxima, by angle, 10° ≤ 2θ ≤ 80°:
22.61°, rel. 1.8; 26.17°, rel. 1.6; 37.35°, rel. 100.0; 44.10°, rel. 1.0; 53.84°, rel. 17.1; 60.82°, rel. 0.6; 67.36°, rel. 34.4; 79.63°, rel. 10.7

# 5
This entry pairs a crystal structure of Tb2CdPd2 with its calculated X-ray diffraction stick pattern. Radiation: Cu Kα (λ = 1.5418 Å). Structure: a cell relaxed with GGA-PBE.
Kinematic intensities with the Lorentz-polarization factor, no thermal factor.

Atomic structure:
```
Tb2CdPd2
1.0
7.6547 0.0000 0.0000
0.0000 7.6547 0.0000
0.0000 0.0000 3.8505
Tb Cd Pd
4 2 4
Direct
0.1734 0.3266 0.0000 Tb
0.3266 0.8266 0.0000 Tb
0.6734 0.1734 0.0000 Tb
0.8266 0.6734 0.0000 Tb
0.0000 0.0000 0.5000 Cd
0.5000 0.5000 0.5000 Cd
0.1271 0.6271 0.5000 Pd
0.3729 0.1271 0.5000 Pd
0.6271 0.8729 0.5000 Pd
0.8729 0.3729 0.5000 Pd
```

Largest 8 diffraction maxima, by angle, 10° ≤ 2θ ≤ 80°:
33.00°, rel. 33.4; 35.08°, rel. 100.0; 37.14°, rel. 39.7; 47.21°, rel. 15.2; 49.05°, rel. 11.8; 54.90°, rel. 13.7; 61.55°, rel. 17.7; 70.64°, rel. 10.9

# 6
This entry pairs a crystal structure of Tb4CdPd with its calculated X-ray diffraction stick pattern. Radiation: Cu Kα (λ = 1.5418 Å). Structure: a cell relaxed with GGA-PBE.
Kinematic intensities with the Lorentz-polarization factor, no thermal factor.

Atomic structure:
```
Tb4CdPd
1.0
0.0000 6.9066 6.9066
6.9066 0.0000 6.9066
6.9066 6.9066 0.0000
Tb Cd Pd
16 4 4
Direct
0.1839 0.1839 0.8161 Tb
0.1839 0.8161 0.1839 Tb
0.1839 0.8161 0.8161 Tb
0.3967 0.3967 0.3967 Tb
0.3967 0.3967 0.8099 Tb
0.3967 0.8099 0.3967 Tb
0.5607 0.5607 0.9393 Tb
0.5607 0.9393 0.5607 Tb
0.5607 0.9393 0.9393 Tb
0.8099 0.3967 0.3967 Tb
0.8161 0.1839 0.1839 Tb
0.8161 0.1839 0.8161 Tb
0.8161 0.8161 0.1839 Tb
0.9393 0.5607 0.5607 Tb
0.9393 0.5607 0.9393 Tb
0.9393 0.9393 0.5607 Tb
0.1680 0.1680 0.1680 Cd
0.1680 0.1680 0.4961 Cd
0.1680 0.4961 0.1680 Cd
0.4961 0.1680 0.1680 Cd
0.1823 0.6059 0.6059 Pd
0.6059 0.1823 0.6059 Pd
0.6059 0.6059 0.1823 Pd
0.6059 0.6059 0.6059 Pd
```

Largest 8 diffraction maxima, by angle, 10° ≤ 2θ ≤ 80°:
28.16°, rel. 24.5; 31.74°, rel. 47.6; 33.72°, rel. 100.0; 36.81°, rel. 30.3; 54.37°, rel. 8.8; 56.53°, rel. 44.5; 57.81°, rel. 13.3; 67.46°, rel. 15.8

# 7
This entry pairs a crystal structure of TbCdPd with its calculated X-ray diffraction stick pattern. Radiation: Cu Kα (λ = 1.5418 Å). Structure: a cell relaxed with GGA-PBE.
Kinematic intensities with the Lorentz-polarization factor, no thermal factor.

Atomic structure:
```
TbCdPd
1.0
7.6656 0.0000 0.0000
-3.8328 6.6386 0.0000
0.0000 0.0000 3.9222
Tb Cd Pd
3 3 3
Direct
0.0000 0.5932 0.0000 Tb
0.4068 0.4068 0.0000 Tb
0.5932 0.0000 0.0000 Tb
0.0000 0.2575 0.5000 Cd
0.2575 0.0000 0.5000 Cd
0.7425 0.7425 0.5000 Cd
0.0000 0.0000 0.0000 Pd
0.3333 0.6667 0.5000 Pd
0.6667 0.3333 0.5000 Pd
```

Largest 8 diffraction maxima, by angle, 10° ≤ 2θ ≤ 80°:
32.67°, rel. 100.0; 35.43°, rel. 86.4; 35.79°, rel. 46.5; 40.78°, rel. 37.0; 42.78°, rel. 21.1; 46.30°, rel. 23.5; 59.86°, rel. 20.3; 65.78°, rel. 30.4

# 8
This entry pairs a crystal structure of ThCdPd2 with its calculated X-ray diffraction stick pattern. Radiation: Cu Kα (λ = 1.5418 Å). Structure: a cell relaxed with GGA-PBE.
Kinematic intensities with the Lorentz-polarization factor, no thermal factor.

Atomic structure:
```
ThCdPd2
1.0
0.0000 3.4923 3.4923
3.4923 0.0000 3.4923
3.4923 3.4923 0.0000
Th Cd Pd
1 1 2
Direct
0.0000 0.0000 0.0000 Th
0.5000 0.5000 0.5000 Cd
0.2500 0.2500 0.2500 Pd
0.7500 0.7500 0.7500 Pd
```

Largest 8 diffraction maxima, by angle, 10° ≤ 2θ ≤ 80°:
22.04°, rel. 8.6; 25.51°, rel. 5.7; 36.38°, rel. 100.0; 42.95°, rel. 5.0; 52.40°, rel. 17.5; 59.16°, rel. 2.5; 65.47°, rel. 35.6; 77.27°, rel. 11.1

# 9
This entry pairs a crystal structure of Y10Cd3Pd with its calculated X-ray diffraction stick pattern. Radiation: Cu Kα (λ = 1.5418 Å). Structure: a cell relaxed with GGA-PBE.
Kinematic intensities with the Lorentz-polarization factor, no thermal factor.

Atomic structure:
```
Y10Cd3Pd
1.0
9.7701 0.0000 0.0000
-4.8851 8.4612 0.0000
0.0000 0.0000 9.7975
Y Cd Pd
20 6 2
Direct
0.0000 0.0000 0.0000 Y
0.0000 0.0000 0.5000 Y
0.0867 0.5433 0.2500 Y
0.2073 0.4146 0.5595 Y
0.2073 0.4146 0.9405 Y
0.2073 0.7927 0.5595 Y
0.2073 0.7927 0.9405 Y
0.4146 0.2073 0.0595 Y
0.4146 0.2073 0.4405 Y
0.4567 0.5433 0.2500 Y
0.4567 0.9133 0.2500 Y
0.5433 0.0867 0.7500 Y
0.5433 0.4567 0.7500 Y
0.5854 0.7927 0.5595 Y
0.5854 0.7927 0.9405 Y
0.7927 0.2073 0.0595 Y
0.7927 0.2073 0.4405 Y
0.7927 0.5854 0.0595 Y
0.7927 0.5854 0.4405 Y
0.9133 0.4567 0.7500 Y
0.1158 0.2317 0.2500 Cd
0.1158 0.8842 0.2500 Cd
0.2317 0.1158 0.7500 Cd
0.7683 0.8842 0.2500 Cd
0.8842 0.1158 0.7500 Cd
0.8842 0.7683 0.7500 Cd
0.3333 0.6667 0.7500 Pd
0.6667 0.3333 0.2500 Pd
```

Largest 8 diffraction maxima, by angle, 10° ≤ 2θ ≤ 80°:
29.32°, rel. 19.0; 33.05°, rel. 74.4; 33.46°, rel. 100.0; 34.70°, rel. 49.9; 36.70°, rel. 16.0; 56.52°, rel. 23.6; 57.25°, rel. 28.0; 57.63°, rel. 19.4

# 10
This entry pairs a crystal structure of Pm3Cd with its calculated X-ray diffraction stick pattern. Radiation: Cu Kα (λ = 1.5418 Å). Structure: a cell relaxed with GGA-PBE.
Kinematic intensities with the Lorentz-polarization factor, no thermal factor.

Atomic structure:
```
Pm3Cd
1.0
7.1312 0.0000 0.0000
-3.5656 6.1758 0.0000
0.0000 0.0000 5.5644
Pm Cd
6 2
Direct
0.1744 0.3487 0.2500 Pm
0.1744 0.8256 0.2500 Pm
0.3487 0.1744 0.7500 Pm
0.6513 0.8256 0.2500 Pm
0.8256 0.1744 0.7500 Pm
0.8256 0.6513 0.7500 Pm
0.3333 0.6667 0.7500 Cd
0.6667 0.3333 0.2500 Cd
```

Largest 8 diffraction maxima, by angle, 10° ≤ 2θ ≤ 80°:
28.91°, rel. 24.0; 32.17°, rel. 24.5; 33.18°, rel. 100.0; 43.80°, rel. 15.4; 51.24°, rel. 18.8; 58.01°, rel. 20.0; 61.81°, rel. 21.3; 62.42°, rel. 15.3

# 11
This entry pairs a crystal structure of Pm3Cd with its calculated X-ray diffraction stick pattern. Radiation: Cu Kα (λ = 1.5418 Å). Structure: a cell relaxed with GGA-PBE.
Kinematic intensities with the Lorentz-polarization factor, no thermal factor.

Atomic structure:
```
Pm3Cd
1.0
-2.4316 2.4316 5.1216
2.4316 -2.4316 5.1216
2.4316 2.4316 -5.1216
Pm Cd
3 1
Direct
0.0000 0.0000 0.0000 Pm
0.2500 0.7500 0.5000 Pm
0.7500 0.2500 0.5000 Pm
0.5000 0.5000 0.0000 Cd
```

Largest 8 diffraction maxima, by angle, 10° ≤ 2θ ≤ 80°:
31.33°, rel. 100.0; 35.04°, rel. 18.5; 36.97°, rel. 32.0; 51.85°, rel. 24.1; 53.28°, rel. 11.1; 60.55°, rel. 15.0; 63.12°, rel. 26.5; 65.38°, rel. 11.9

# 12
This entry pairs a crystal structure of PmCdPt2 with its calculated X-ray diffraction stick pattern. Radiation: Cu Kα (λ = 1.5418 Å). Structure: a cell relaxed with GGA-PBE.
Kinematic intensities with the Lorentz-polarization factor, no thermal factor.

Atomic structure:
```
PmCdPt2
1.0
0.0000 3.4561 3.4561
3.4561 0.0000 3.4561
3.4561 3.4561 0.0000
Pm Cd Pt
1 1 2
Direct
0.0000 0.0000 0.0000 Pm
0.5000 0.5000 0.5000 Cd
0.2500 0.2500 0.2500 Pt
0.7500 0.7500 0.7500 Pt
```

Largest 8 diffraction maxima, by angle, 10° ≤ 2θ ≤ 80°:
22.28°, rel. 0.6; 25.78°, rel. 4.2; 36.78°, rel. 100.0; 45.46°, rel. 1.4; 52.99°, rel. 17.6; 59.84°, rel. 1.9; 66.24°, rel. 35.9; 78.24°, rel. 11.2